For NiHg3Br2F6, a structure optimized by DFT (GGA+U) gives the theoretical powder XRD pattern in this record (λ = 1.5418 Å (Cu Kα)).
Intensities are scaled so that the largest is 100.

a = 11.5705 Å, b = 7.0659 Å, c = 5.9552 Å
α = 90.00°, β = 92.90°, γ = 90.00°
Space group C2/m (No. 12)
Symmetry-distinct sites (fractional):
Ni 0.0000 0.0000 0.0000
Hg 0.0000 0.5000 0.5000
Hg 0.2500 0.2500 0.0000
Br 0.2014 0.5000 0.3750
F 0.0758 0.2159 0.8224
F 0.1514 0.0000 0.1806

The 10 most intense peaks (5 to 70 degrees two-theta), in order of rising 2θ:
(hkl), 2θ (°), intensity
2 0 -1, 20.9, 36
1 1 1, 21.3, 83
2 0 1, 22.0, 48
0 2 1, 29.4, 100
2 2 0, 29.6, 50
0 0 2, 30.0, 37
4 0 0, 31.0, 45
2 2 -1, 33.0, 41
2 2 -2, 42.1, 50
2 2 2, 43.3, 50